Starting from DFT lattice parameters and positions (PBE), the X-ray powder pattern of AcLa8Y4 was computed for Cu Kα X-rays.

Peak list (10 most intense, 2θ from 10° to 80°, by intensity)
29.89 deg, d 2.989, intensity 100; 37.30 deg, d 2.411, intensity 43; 26.45 deg, d 3.370, intensity 33; 34.03 deg, d 2.635, intensity 22; 53.06 deg, d 1.726, intensity 20; 21.79 deg, d 4.079, intensity 20; 54.46 deg, d 1.685, intensity 18; 45.91 deg, d 1.977, intensity 17; 62.10 deg, d 1.495, intensity 13; 30.47 deg, d 2.934, intensity 12

Structural model:
Cell lengths 11.9571, 11.9571, 12.2373 Å; angles 90.00, 90.00, 120.00 degrees
Space group R-3m (No. 166, hexagonal axes)
One atom of each set of equivalent atoms:
1 Ac 0.0000 0.0000 0.0000 x3
2 La 0.0000 0.0000 0.2676 x6
3 La 0.0026 0.5013 0.1686 x18
4 Y 0.0000 0.0000 0.5000 x3
5 Y 0.0000 0.5000 0.5000 x9